The following is a computed PXRD pattern of Re2P5. It was derived from a GGA-PBE-relaxed structure, using Cu Kα.
Peak positions follow from Bragg's law for the DFT cell and can differ from measured ones.

The 10 most intense peaks (2θ = 10–90°), sorted by position:
2θ (°)	I (rel.)	(hkl)
12.16	53	0 0 1
15.99	95	1 1 1
16.53	52	1 -1 0
19.99	65	1 -1 1
24.14	72	1 2 1
25.41	44	1 -2 0
27.70	41	2 -1 1
31.97	100	1 1 3
33.06	100	2 0 -1
54.15	43	-1 1 4

Cell and atoms:
```
Re2P5
1.0
7.3838 0.0000 0.0000
0.4240 8.2751 0.0000
3.1739 2.7451 7.2765
Re P
8 20
direct
0.0565 0.0883 0.0978
0.1784 0.5199 0.2505
0.3039 0.1418 0.7096
0.4257 0.5781 0.8572
0.5743 0.4219 0.1428
0.6961 0.8582 0.2904
0.8216 0.4801 0.7495
0.9435 0.9117 0.9022
0.0233 0.7813 0.1685
0.1074 0.4146 0.0479
0.1366 0.0402 0.3679
0.1608 0.5831 0.5208
0.2707 0.8430 0.7403
0.2811 0.2526 0.4045
0.3196 0.8347 0.4647
0.3757 0.4511 0.6367
0.3983 0.0848 0.9534
0.4654 0.6930 0.0554
0.5346 0.3070 0.9446
0.6017 0.9152 0.0466
0.6243 0.5489 0.3633
0.6804 0.1653 0.5353
0.7189 0.7474 0.5955
0.7293 0.1570 0.2597
0.8392 0.4169 0.4792
0.8634 0.9598 0.6321
0.8926 0.5854 0.9521
0.9767 0.2187 0.8315
```